Ba2ScTlO: computed powder diffractogram (Cu Kα), based on a GGA-PBE-relaxed structure.
Kinematic intensities with the Lorentz-polarization factor, no thermal factor.

Structural model:
```
data_Ba2ScTlO
_chemical_formula_sum 'Ba2 Sc1 Tl1 O1'
_cell_length_a 6.0513
_cell_length_b 6.0513
_cell_length_c 4.1292
_cell_angle_alpha 90.00
_cell_angle_beta 90.00
_cell_angle_gamma 90.00
_space_group_name_H-M_alt 'P 4/m m m'
_space_group_IT_number 123
_space_group_name_Hall '-P 4 2'
loop_
_atom_site_label
_atom_site_type_symbol
_atom_site_fract_x
_atom_site_fract_y
_atom_site_fract_z
_atom_site_occupancy
Ba1 Ba 0.0000 0.5000 0.0000 1
Sc1 Sc 0.0000 0.0000 0.5000 1
Tl1 Tl 0.5000 0.5000 0.5000 1
O1 O 0.0000 0.0000 0.0000 1
```

Largest 10 diffraction maxima, by angle, 2θ from 10° to 90°:
Position (°2θ)	d (Å)	I (rel.)
14.64	6.051	19
26.13	3.411	17
29.52	3.026	60
30.08	2.971	100
39.83	2.263	12
42.24	2.139	22
52.72	1.736	42
53.75	1.705	22
62.52	1.486	14
85.88	1.132	12

***

AcSCl: computed powder diffractogram (Cu Kα), based on a GGA-PBE-relaxed structure.
Kinematic intensities with the Lorentz-polarization factor, no thermal factor.

Structural model:
```
data_AcSCl
_chemical_formula_sum 'Ac16 S16 Cl16'
_cell_length_a 9.9082
_cell_length_b 10.2507
_cell_length_c 14.1333
_cell_angle_alpha 90.00
_cell_angle_beta 90.00
_cell_angle_gamma 90.00
_space_group_name_H-M_alt 'F d d d'
_space_group_IT_number 70
loop_
_space_group_symop_operation_xyz
'x,y,z'
'-x,-y,-z'
'-x+1/4,-y+1/4,z'
'x+1/4,y+1/4,-z'
'x,-y+1/4,-z+1/4'
'-x,y+1/4,z+1/4'
'-x+1/4,y,-z+1/4'
'x+1/4,-y,z+1/4'
'x,y+1/2,z+1/2'
'-x,-y+1/2,-z+1/2'
'-x+1/4,-y+3/4,z+1/2'
'x+1/4,y+3/4,-z+1/2'
'x,-y+3/4,-z+3/4'
'-x,y+3/4,z+3/4'
'-x+1/4,y+1/2,-z+3/4'
'x+1/4,-y+1/2,z+3/4'
'x+1/2,y,z+1/2'
'-x+1/2,-y,-z+1/2'
'-x+3/4,-y+1/4,z+1/2'
'x+3/4,y+1/4,-z+1/2'
'x+1/2,-y+1/4,-z+3/4'
'-x+1/2,y+1/4,z+3/4'
'-x+3/4,y,-z+3/4'
'x+3/4,-y,z+3/4'
'x+1/2,y+1/2,z'
'-x+1/2,-y+1/2,-z'
'-x+3/4,-y+3/4,z'
'x+3/4,y+3/4,-z'
'x+1/2,-y+3/4,-z+1/4'
'-x+1/2,y+3/4,z+1/4'
'-x+3/4,y+1/2,-z+1/4'
'x+3/4,-y+1/2,z+1/4'
loop_
_atom_site_label
_atom_site_type_symbol
_atom_site_fract_x
_atom_site_fract_y
_atom_site_fract_z
_atom_site_occupancy
Ac1 Ac 0.1250 0.3484 0.1250 1
S1 S 0.1250 0.1250 0.2550 1
Cl1 Cl 0.1250 0.1250 0.5059 1
```

Largest 10 diffraction maxima, by angle, 2θ from 10° to 90°:
Position (°2θ)	d (Å)	I (rel.)
21.42	4.149	93
21.91	4.057	100
25.00	3.562	27
25.21	3.533	16
35.01	2.563	19
35.80	2.509	91
36.27	2.477	24
41.69	2.167	24
42.22	2.140	17
42.50	2.127	54